For Na3Hg2, a structure optimized by DFT (GGA-PBE) gives the theoretical powder X-ray diffraction pattern in this record (λ = 1.5418 Å (Cu Kα)).
Neutral-atom scattering factors, no anomalous dispersion.

Atomic structure:
Cell lengths 8.5444, 8.5444, 7.9258 Å; angles 90.00, 90.00, 90.00 degrees
Element x y z (fractional)
Na 0.0000 0.5000 0.2500
Na 0.0000 0.5000 0.7500
Na 0.1415 0.1415 0.0000
Na 0.2063 0.2063 0.5000
Na 0.2937 0.7063 0.0000
Na 0.3585 0.6415 0.5000
Na 0.5000 0.0000 0.2500
Na 0.5000 0.0000 0.7500
Na 0.6415 0.3585 0.5000
Na 0.7063 0.2937 0.0000
Na 0.7937 0.7937 0.5000
Na 0.8585 0.8585 0.0000
Hg 0.1268 0.8732 0.3062
Hg 0.1268 0.8732 0.6938
Hg 0.3732 0.3732 0.1938
Hg 0.3732 0.3732 0.8062
Hg 0.6268 0.6268 0.1938
Hg 0.6268 0.6268 0.8062
Hg 0.8732 0.1268 0.3062
Hg 0.8732 0.1268 0.6938

Top 10 peaks for 2θ from 15° to 90°, most intense first:
2θ 23.28, intensity 100
2θ 32.55, intensity 84
2θ 33.16, intensity 40
2θ 35.57, intensity 34
2θ 37.97, intensity 33
2θ 22.44, intensity 33
2θ 15.25, intensity 31
2θ 45.62, intensity 30
2θ 44.55, intensity 25
2θ 42.31, intensity 25

---

For NaHg, a structure optimized by DFT (GGA-PBE) gives the theoretical powder X-ray diffraction pattern in this record (λ = 1.5418 Å (Cu Kα)).
Neutral-atom scattering factors, no anomalous dispersion.

Atomic structure:
Cell lengths 7.3006, 10.8663, 5.3961 Å; angles 90.00, 90.00, 90.00 degrees
Element x y z (fractional)
Na 0.0000 0.1261 0.2500
Na 0.0000 0.3263 0.7500
Na 0.0000 0.6737 0.2500
Na 0.0000 0.8739 0.7500
Na 0.5000 0.1737 0.2500
Na 0.5000 0.3739 0.7500
Na 0.5000 0.6261 0.2500
Na 0.5000 0.8263 0.7500
Hg 0.2127 0.4063 0.2500
Hg 0.2127 0.5937 0.7500
Hg 0.2873 0.0937 0.7500
Hg 0.2873 0.9063 0.2500
Hg 0.7127 0.0937 0.7500
Hg 0.7127 0.9063 0.2500
Hg 0.7873 0.4063 0.2500
Hg 0.7873 0.5937 0.7500

Top 10 peaks for 2θ from 15° to 90°, most intense first:
2θ 33.93, intensity 100
2θ 23.23, intensity 96
2θ 24.38, intensity 38
2θ 33.21, intensity 38
2θ 41.60, intensity 29
2θ 37.05, intensity 27
2θ 67.37, intensity 21
2θ 59.79, intensity 20
2θ 16.31, intensity 19
2θ 32.97, intensity 19

---

For NaNdHg2, a structure optimized by DFT (GGA-PBE) gives the theoretical powder X-ray diffraction pattern in this record (λ = 1.5418 Å (Cu Kα)).
Neutral-atom scattering factors, no anomalous dispersion.

Atomic structure:
Cell lengths 7.4874, 7.4874, 7.4874 Å; angles 90.00, 90.00, 90.00 degrees
Element x y z (fractional)
Na 0.0000 0.0000 0.0000
Na 0.0000 0.5000 0.5000
Na 0.5000 0.0000 0.5000
Na 0.5000 0.5000 0.0000
Nd 0.0000 0.0000 0.5000
Nd 0.0000 0.5000 0.0000
Nd 0.5000 0.0000 0.0000
Nd 0.5000 0.5000 0.5000
Hg 0.2500 0.2500 0.2500
Hg 0.2500 0.2500 0.7500
Hg 0.2500 0.7500 0.2500
Hg 0.2500 0.7500 0.7500
Hg 0.7500 0.2500 0.2500
Hg 0.7500 0.2500 0.7500
Hg 0.7500 0.7500 0.2500
Hg 0.7500 0.7500 0.7500

Top 10 peaks for 2θ from 15° to 90°, most intense first:
2θ 33.86, intensity 100
2θ 60.58, intensity 38
2θ 23.77, intensity 20
2θ 48.64, intensity 18
2θ 81.26, intensity 17
2θ 71.25, intensity 12
2θ 20.55, intensity 10
2θ 54.83, intensity 9
2θ 41.79, intensity 6
2θ 39.94, intensity 6

---

For NaHgPO4, a structure optimized by DFT (GGA-PBE) gives the theoretical powder X-ray diffraction pattern in this record (λ = 1.5418 Å (Cu Kα)).
Neutral-atom scattering factors, no anomalous dispersion.

Atomic structure:
Cell lengths 5.6456, 5.6456, 6.5472 Å; angles 90.00, 90.00, 116.03 degrees
Element x y z (fractional)
Na 0.0000 0.0000 0.0000
Na 0.0000 0.0000 0.5000
Hg 0.3119 0.6881 0.7500
Hg 0.6881 0.3119 0.2500
P 0.3608 0.6392 0.2500
P 0.6392 0.3608 0.7500
O 0.2399 0.3347 0.2500
O 0.2545 0.7455 0.0655
O 0.2545 0.7455 0.4345
O 0.3347 0.2399 0.7500
O 0.6653 0.7601 0.2500
O 0.7455 0.2545 0.5655
O 0.7455 0.2545 0.9345
O 0.7601 0.6653 0.7500

Top 10 peaks for 2θ from 15° to 90°, most intense first:
2θ 22.17, intensity 100
2θ 31.77, intensity 56
2θ 45.23, intensity 52
2θ 29.88, intensity 41
2θ 27.24, intensity 36
2θ 18.53, intensity 31
2θ 32.55, intensity 31
2θ 42.33, intensity 31
2θ 17.48, intensity 29
2θ 40.10, intensity 26